Theoretical powder XRD pattern of Ce2MnN3F for Cu Kα X-rays, from a DFT-relaxed cell (GGA+U, the Materials Project).
Neutral-atom scattering factors, no anomalous dispersion.

Cell and atoms:
```
data_Ce2MnN3F
_cell_length_a 3.893
_cell_length_b 3.893
_cell_length_c 12.569
_cell_angle_alpha 90.00
_cell_angle_beta 90.00
_cell_angle_gamma 90.00
_symmetry_space_group_name_H-M 'I 4 m m'
_symmetry_Int_Tables_number 107
_symmetry_space_group_name_Hall 'I 4 -2'
loop_
_atom_site_label
_atom_site_type_symbol
_atom_site_fract_x
_atom_site_fract_y
_atom_site_fract_z
Ce1 Ce 0.000 0.000 0.000
Ce2 Ce 0.000 0.000 0.263
Mn1 Mn 0.000 0.000 0.615
N1 N 0.000 0.000 0.445
N2 N 0.000 0.500 0.141
F1 F 0.000 0.000 0.815
```

Top 8 peaks for 10 to 90 degrees two-theta, by angle:
Position (°2θ)  Rel. int.  hkl
23.93  47  1 0 1
28.40  22  0 0 4
31.37  100  1 0 3
32.53  91  1 1 0
42.82  39  1 0 5
43.72  44  1 1 4
46.67  43  2 0 0
57.31  37  2 1 3

***

Theoretical powder XRD pattern of K2Ce2Fe4O11 for Cu Kα X-rays, from a DFT-relaxed cell (GGA+U, the Materials Project).
Neutral-atom scattering factors, no anomalous dispersion.

Cell and atoms:
```
data_K2Ce2Fe4O11
_cell_length_a 7.912
_cell_length_b 15.760
_cell_length_c 3.899
_cell_angle_alpha 90.00
_cell_angle_beta 90.00
_cell_angle_gamma 90.00
_symmetry_space_group_name_H-M 'C m m m'
_symmetry_Int_Tables_number 65
_symmetry_space_group_name_Hall '-C 2 2'
loop_
_atom_site_label
_atom_site_type_symbol
_atom_site_fract_x
_atom_site_fract_y
_atom_site_fract_z
K1 K 0.250 0.250 0.000
Ce1 Ce 0.234 0.000 0.000
Fe1 Fe 0.000 0.127 0.500
Fe2 Fe 0.000 0.370 0.500
O1 O 0.000 0.000 0.500
O2 O 0.000 0.107 0.000
O3 O 0.000 0.250 0.500
O4 O 0.000 0.414 0.000
O5 O 0.238 0.406 0.500
```

Top 8 peaks for 10 to 90 degrees two-theta, by angle:
Position (°2θ)  Rel. int.  hkl
11.23  50  0 2 0
32.06  54  2 4 0
32.27  100  0 4 1
45.87  18  4 0 0
46.59  18  0 0 2
57.22  18  4 4 1
57.34  25  2 8 1
57.67  19  2 4 2

***

Theoretical powder XRD pattern of Na2CeFeO6 for Cu Kα X-rays, from a DFT-relaxed cell (GGA+U, the Materials Project).
Neutral-atom scattering factors, no anomalous dispersion.

Cell and atoms:
```
data_Na2CeFeO6
_cell_length_a 8.112
_cell_length_b 8.112
_cell_length_c 8.112
_cell_angle_alpha 90.00
_cell_angle_beta 90.00
_cell_angle_gamma 90.00
_symmetry_space_group_name_H-M 'F m -3 m'
_symmetry_Int_Tables_number 225
_symmetry_space_group_name_Hall '-F 4 2 3'
loop_
_atom_site_label
_atom_site_type_symbol
_atom_site_fract_x
_atom_site_fract_y
_atom_site_fract_z
Na1 Na 0.250 0.250 0.250
Ce1 Ce 0.000 0.000 0.000
Fe1 Fe 0.000 0.000 0.500
O1 O 0.000 0.000 0.269
```

Top 8 peaks for 10 to 90 degrees two-theta, by angle:
Position (°2θ)  Rel. int.  hkl
18.95  21  1 1 1
21.91  92  2 0 0
31.19  100  2 2 0
36.75  19  3 1 1
44.68  44  4 0 0
50.30  35  4 2 0
55.49  38  4 2 2
65.04  25  4 4 0